[1]
Structure and simulated X-ray diffraction stick pattern of CaHoHgPb (a DFT-relaxed cell (PBE, Alexandria); Cu Kα (λ = 1.5418 Å)).

Atomic structure:
a b c (Å): 4.062 5.144 5.278
angles (deg): 90.00 90.00 90.00
Element x y z (fractional)
Ca  0.000  0.000  0.000
Ho  0.000  0.500  0.500
Hg  0.500  0.500  0.000
Pb  0.500  0.000  0.500

Most intense lines, 2θ from 10° to 80°, in order of falling intensity:
Position (°2θ)  Rel. int.
32.82  100
33.97  23
34.88  21
60.06  18
61.25  17
49.48  16
44.61  13
68.81  12
24.16  11
74.68  11

***

[2]
Structure and simulated X-ray diffraction stick pattern of DyAs3Rh3 (a DFT-relaxed cell (PBE, Alexandria); Cu Kα (λ = 1.5418 Å)).

Atomic structure:
a b c (Å): 6.683 6.683 6.683
angles (deg): 90.00 90.00 90.00
Element x y z (fractional)
Dy  0.000  0.000  0.000
Dy  0.500  0.500  0.500
As  0.000  0.250  0.500
As  0.000  0.750  0.500
As  0.250  0.500  0.000
As  0.500  0.000  0.250
As  0.500  0.000  0.750
As  0.750  0.500  0.000
Rh  0.000  0.500  0.250
Rh  0.000  0.500  0.750
Rh  0.250  0.000  0.500
Rh  0.500  0.250  0.000
Rh  0.500  0.750  0.000
Rh  0.750  0.000  0.500

Most intense lines, 2θ from 10° to 80°, in order of falling intensity:
Position (°2θ)  Rel. int.
32.83  100
51.14  57
26.68  43
54.96  24
78.37  16
62.12  16
47.11  15
65.51  13
29.90  4
18.78  1

***

[3]
Structure and simulated X-ray diffraction stick pattern of Te2P2O9 (a DFT-relaxed cell (PBE, Alexandria); Cu Kα (λ = 1.5418 Å)).

Atomic structure:
a b c (Å): 7.464 7.464 9.811
angles (deg): 94.62 94.62 137.31
Element x y z (fractional)
Te  0.033  0.967  0.500
Te  0.052  0.476  0.259
Te  0.476  0.052  0.759
Te  0.967  0.033  0.000
P  0.281  0.650  0.964
P  0.426  0.620  0.553
P  0.620  0.426  0.053
P  0.650  0.281  0.464
O  0.051  0.338  0.909
O  0.155  0.939  0.671
O  0.203  0.770  0.892
O  0.297  0.365  0.609
O  0.316  0.719  0.607
O  0.317  0.705  0.125
O  0.338  0.051  0.409
O  0.356  0.551  0.390
O  0.365  0.297  0.109
O  0.550  0.784  0.924
O  0.551  0.356  0.890
O  0.705  0.317  0.625
O  0.719  0.316  0.107
O  0.738  0.847  0.609
O  0.770  0.203  0.392
O  0.784  0.550  0.424
O  0.847  0.738  0.109
O  0.939  0.155  0.171

Most intense lines, 2θ from 10° to 80°, in order of falling intensity:
Position (°2θ)  Rel. int.
22.56  100
28.48  67
18.40  67
25.55  60
29.41  31
21.85  28
34.89  27
36.51  25
42.53  24
35.26  22

***

[4]
Structure and simulated X-ray diffraction stick pattern of Cs3SnBr7 (a DFT-relaxed cell (PBE, Alexandria); Cu Kα (λ = 1.5418 Å)).

Atomic structure:
a b c (Å): 10.930 10.930 7.777
angles (deg): 90.00 90.00 90.00
Element x y z (fractional)
Cs  0.000  0.000  0.000
Cs  0.175  0.325  0.500
Cs  0.325  0.825  0.500
Cs  0.500  0.500  0.000
Cs  0.675  0.175  0.500
Cs  0.825  0.675  0.500
Sn  0.000  0.500  0.000
Sn  0.500  0.000  0.000
Br  0.000  0.000  0.500
Br  0.120  0.620  0.245
Br  0.120  0.620  0.755
Br  0.171  0.329  0.000
Br  0.329  0.829  0.000
Br  0.380  0.120  0.245
Br  0.380  0.120  0.755
Br  0.500  0.500  0.500
Br  0.620  0.880  0.245
Br  0.620  0.880  0.755
Br  0.671  0.171  0.000
Br  0.829  0.671  0.000
Br  0.880  0.380  0.245
Br  0.880  0.380  0.755

Most intense lines, 2θ from 10° to 80°, in order of falling intensity:
Position (°2θ)  Rel. int.
29.35  100
25.78  48
23.02  36
32.67  29
11.44  27
19.86  25
43.75  23
54.34  21
40.34  19
50.75  19

***

[5]
Structure and simulated X-ray diffraction stick pattern of Na8HgAu3 (a DFT-relaxed cell (PBE, Alexandria); Cu Kα (λ = 1.5418 Å)).

Atomic structure:
a b c (Å): 8.723 8.667 7.095
angles (deg): 66.34 65.51 48.16
Element x y z (fractional)
Na  0.113  0.627  0.887
Na  0.116  0.630  0.370
Na  0.370  0.884  0.116
Na  0.373  0.887  0.627
Na  0.627  0.113  0.373
Na  0.630  0.116  0.884
Na  0.884  0.370  0.630
Na  0.887  0.373  0.113
Hg  0.500  0.500  0.500
Au  0.000  0.000  0.000
Au  0.250  0.250  0.250
Au  0.750  0.750  0.750

Most intense lines, 2θ from 10° to 80°, in order of falling intensity:
Position (°2θ)  Rel. int.
21.55  100
21.83  99
35.78  89
25.10  59
42.01  38
42.48  36
51.51  24
35.44  23
36.16  22
42.13  19

***

[6]
Structure and simulated X-ray diffraction stick pattern of Zn5Ag6 (a DFT-relaxed cell (PBE, Alexandria); Cu Kα (λ = 1.5418 Å)).

Atomic structure:
a b c (Å): 6.441 6.441 4.952
angles (deg): 102.57 102.57 104.53
Element x y z (fractional)
Zn  0.000  0.000  0.000
Zn  0.127  0.873  0.500
Zn  0.268  0.732  0.000
Zn  0.732  0.268  0.000
Zn  0.873  0.127  0.500
Ag  0.164  0.454  0.349
Ag  0.310  0.310  0.852
Ag  0.454  0.164  0.349
Ag  0.546  0.836  0.651
Ag  0.690  0.690  0.148
Ag  0.836  0.546  0.651

Most intense lines, 2θ from 10° to 80°, in order of falling intensity:
Position (°2θ)  Rel. int.
40.42  100
37.85  82
44.05  80
37.37  72
37.67  68
45.96  44
32.40  44
67.77  31
43.68  21
71.83  19

***

[7]
Structure and simulated X-ray diffraction stick pattern of Na5B6C4 (a DFT-relaxed cell (PBE, Alexandria); Cu Kα (λ = 1.5418 Å)).

Atomic structure:
a b c (Å): 11.391 11.391 9.844
angles (deg): 107.76 107.76 14.29
Element x y z (fractional)
Na  0.000  0.000  0.000
Na  0.099  0.099  0.702
Na  0.200  0.200  0.402
Na  0.300  0.300  0.099
Na  0.399  0.399  0.798
Na  0.500  0.500  0.500
Na  0.601  0.601  0.202
Na  0.700  0.700  0.901
Na  0.800  0.800  0.598
Na  0.901  0.901  0.298
B  0.087  0.087  0.424
B  0.122  0.122  0.996
B  0.281  0.281  0.811
B  0.316  0.316  0.382
B  0.418  0.418  0.085
B  0.489  0.489  0.229
B  0.511  0.511  0.771
B  0.582  0.582  0.915
B  0.684  0.684  0.618
B  0.719  0.719  0.189
B  0.878  0.878  0.004
B  0.913  0.913  0.576
C  0.021  0.021  0.293
C  0.187  0.187  0.125
C  0.216  0.216  0.681
C  0.382  0.382  0.513
C  0.618  0.618  0.487
C  0.784  0.784  0.319
C  0.813  0.813  0.875
C  0.979  0.979  0.707

Most intense lines, 2θ from 10° to 80°, in order of falling intensity:
Position (°2θ)  Rel. int.
42.43  100
41.96  51
42.70  38
36.45  18
64.91  17
35.92  10
65.93  8
78.03  6
77.96  6
57.33  5

***

[8]
Structure and simulated X-ray diffraction stick pattern of Ce5YSb6 (a DFT-relaxed cell (PBE, Alexandria); Cu Kα (λ = 1.5418 Å)).

Atomic structure:
a b c (Å): 7.766 7.766 7.758
angles (deg): 99.61 99.61 119.99
Element x y z (fractional)
Ce  0.000  0.000  0.000
Ce  0.166  0.834  0.500
Ce  0.332  0.668  0.000
Ce  0.668  0.332  0.000
Ce  0.834  0.166  0.500
Y  0.500  0.500  0.500
Sb  0.087  0.418  0.253
Sb  0.253  0.253  0.750
Sb  0.418  0.087  0.253
Sb  0.582  0.913  0.747
Sb  0.747  0.747  0.250
Sb  0.913  0.582  0.747

Most intense lines, 2θ from 10° to 80°, in order of falling intensity:
Position (°2θ)  Rel. int.
28.16  100
40.24  76
65.90  35
49.84  27
73.13  19
58.22  13
73.20  6

***

Q: Number 8 is which compound?
A: Ce5YSb6